Entry 1:
This entry pairs a crystal structure of Be5FeRu with its theoretical XRD peak list. Radiation: λ = 1.5418 Å (Cu Kα). Structure: a DFT-relaxed cell (PBE, Alexandria).

Principal peaks in the range 2θ from 5° to 70°, low angle first:
16.00 deg, I 40.2; 23.81 deg, I 100.0; 27.30 deg, I 36.5; 32.09 deg, I 34.5; 33.64 deg, I 38.9; 36.98 deg, I 56.0; 39.23 deg, I 27.6; 39.84 deg, I 33.2; 44.14 deg, I 30.7; 45.41 deg, I 31.1; 49.20 deg, I 33.9; 53.10 deg, I 29.2

Structure:
Cell: 7.006 4.103 9.053 Å, 90.00 90.00 90.00°
Space group Pnma (No. 62)
Inequivalent atoms, fractional coordinates:
Be: 0.028 0.250 0.100
Be: 0.058 0.510 0.308
Be: 0.082 0.750 0.514
Be: 0.196 0.750 0.736
Fe: 0.249 0.750 0.079
Ru: 0.148 0.250 0.871


Entry 2:
This entry pairs a crystal structure of Sc2Be2VFe5 with its theoretical XRD peak list. Radiation: λ = 1.5418 Å (Cu Kα). Structure: a DFT-relaxed cell (PBE, Alexandria).

Principal peaks in the range 2θ from 5° to 70°, low angle first:
19.87 deg, I 7.1; 29.16 deg, I 15.3; 36.24 deg, I 17.1; 36.98 deg, I 40.3; 41.04 deg, I 25.9; 41.67 deg, I 57.0; 42.94 deg, I 13.1; 43.58 deg, I 100.0; 45.38 deg, I 23.2; 47.17 deg, I 26.0; 51.66 deg, I 8.0; 60.44 deg, I 21.1

Structure:
Cell: 8.937 8.937 3.063 Å, 90.00 90.00 90.00°
Space group P4/mbm (No. 127)
Inequivalent atoms, fractional coordinates:
Sc: 0.171 0.329 0.000
Be: 0.123 0.623 0.000
V: 0.000 0.000 0.000
Fe: 0.000 0.500 0.500
Fe: 0.066 0.797 0.500


Entry 3:
This entry pairs a crystal structure of Be10Fe4Si with its theoretical XRD peak list. Radiation: λ = 1.5418 Å (Cu Kα). Structure: a DFT-relaxed cell (PBE, Alexandria).

Principal peaks in the range 2θ from 5° to 70°, low angle first:
18.71 deg, I 54.3; 19.49 deg, I 36.5; 25.40 deg, I 86.0; 32.22 deg, I 12.4; 33.64 deg, I 100.0; 41.08 deg, I 16.1; 44.12 deg, I 42.4; 44.48 deg, I 39.4; 50.27 deg, I 48.8; 51.92 deg, I 46.2; 52.89 deg, I 26.3; 64.73 deg, I 11.8

Structure:
Cell: 6.440 6.440 7.013 Å, 90.00 90.00 90.00°
Space group I4/m (No. 87)
Inequivalent atoms, fractional coordinates:
Be: 0.000 0.500 0.250
Be: 0.116 0.776 0.153
Fe: 0.075 0.671 0.500
Si: 0.000 0.000 0.500


Entry 4:
This entry pairs a crystal structure of Be4Fe2Si with its theoretical XRD peak list. Radiation: λ = 1.5418 Å (Cu Kα). Structure: a DFT-relaxed cell (PBE, Alexandria).

Principal peaks in the range 2θ from 5° to 70°, low angle first:
21.89 deg, I 13.0; 24.48 deg, I 100.0; 28.00 deg, I 13.9; 29.32 deg, I 30.1; 35.20 deg, I 47.1; 42.77 deg, I 34.2; 44.22 deg, I 24.4; 47.80 deg, I 29.5; 49.90 deg, I 48.9; 50.18 deg, I 16.3; 50.40 deg, I 19.5; 54.42 deg, I 14.2

Structure:
Cell: 6.710 14.545 5.445 Å, 90.00 90.00 90.00°
Space group Fdd2 (No. 43)
Inequivalent atoms, fractional coordinates:
Be: 0.022 0.420 0.000
Be: 0.029 0.126 0.134
Fe: 0.048 0.242 0.436
Si: 0.000 0.000 0.857


Entry 5:
This entry pairs a crystal structure of BeFe6Si with its theoretical XRD peak list. Radiation: λ = 1.5418 Å (Cu Kα). Structure: a DFT-relaxed cell (PBE, Alexandria).

Principal peaks in the range 2θ from 5° to 70°, low angle first:
24.86 deg, I 5.6; 25.29 deg, I 10.7; 35.76 deg, I 8.8; 36.07 deg, I 4.3; 44.31 deg, I 100.0; 51.01 deg, I 16.0; 51.93 deg, I 30.1; 57.77 deg, I 2.0; 58.40 deg, I 1.9; 58.61 deg, I 1.8; 64.05 deg, I 1.4; 64.65 deg, I 2.6

Structure:
Cell: 7.162 9.964 9.958 Å, 90.00 90.00 90.00°
Space group Cmmm (No. 65)
Inequivalent atoms, fractional coordinates:
Be: 0.000 0.000 0.248
Be: 0.000 0.249 0.000
Fe: 0.000 0.000 0.000
Fe: 0.000 0.000 0.500
Fe: 0.000 0.247 0.246
Fe: 0.000 0.500 0.000
Fe: 0.000 0.500 0.500
Fe: 0.248 0.124 0.373
Fe: 0.248 0.126 0.123
Si: 0.000 0.249 0.500
Si: 0.000 0.500 0.247


Entry 6:
This entry pairs a crystal structure of Be5Fe2Si2 with its theoretical XRD peak list. Radiation: λ = 1.5418 Å (Cu Kα). Structure: a DFT-relaxed cell (PBE, Alexandria).

Principal peaks in the range 2θ from 5° to 70°, low angle first:
21.39 deg, I 100.0; 24.73 deg, I 25.7; 32.27 deg, I 12.3; 34.76 deg, I 6.0; 41.87 deg, I 12.8; 43.12 deg, I 92.6; 43.57 deg, I 14.3; 45.41 deg, I 24.0; 50.29 deg, I 22.1; 50.71 deg, I 25.8; 53.69 deg, I 41.0; 64.74 deg, I 5.4

Structure:
Cell: 3.995 10.324 8.310 Å, 90.00 90.00 90.00°
Space group Imma (No. 74)
Inequivalent atoms, fractional coordinates:
Be: 0.000 0.140 0.201
Be: 0.000 0.250 0.683
Be: 0.250 0.048 0.750
Fe: 0.000 0.119 0.465
Si: 0.000 0.000 0.000
Si: 0.000 0.250 0.956


Entry 7:
This entry pairs a crystal structure of TaBeFeSi2 with its theoretical XRD peak list. Radiation: λ = 1.5418 Å (Cu Kα). Structure: a DFT-relaxed cell (PBE, Alexandria).

Principal peaks in the range 2θ from 5° to 70°, low angle first:
20.81 deg, I 30.4; 29.60 deg, I 36.9; 31.17 deg, I 100.0; 37.78 deg, I 37.1; 42.35 deg, I 36.2; 46.89 deg, I 13.4; 47.64 deg, I 7.8; 53.51 deg, I 43.4; 56.43 deg, I 12.1; 61.44 deg, I 11.8; 65.01 deg, I 19.9; 69.66 deg, I 6.3

Structure:
Cell: 4.269 4.269 3.875 Å, 90.00 90.00 90.00°
Space group P4/mmm (No. 123)
Inequivalent atoms, fractional coordinates:
Ta: 0.000 0.000 0.000
Be: 0.500 0.500 0.000
Fe: 0.500 0.500 0.500
Si: 0.000 0.500 0.500


Entry 8:
This entry pairs a crystal structure of Ta3Be2Fe5 with its theoretical XRD peak list. Radiation: λ = 1.5418 Å (Cu Kα). Structure: a DFT-relaxed cell (PBE, Alexandria).

Principal peaks in the range 2θ from 5° to 70°, low angle first:
14.20 deg, I 12.7; 22.53 deg, I 42.7; 28.62 deg, I 18.0; 32.08 deg, I 28.6; 37.21 deg, I 75.4; 41.35 deg, I 39.7; 42.23 deg, I 53.7; 43.94 deg, I 100.0; 46.00 deg, I 28.1; 60.58 deg, I 15.9; 61.26 deg, I 16.2; 69.29 deg, I 20.7

Structure:
Cell: 8.823 8.823 3.057 Å, 90.00 90.00 90.00°
Space group P4/mbm (No. 127)
Inequivalent atoms, fractional coordinates:
Ta: 0.000 0.000 0.000
Ta: 0.174 0.326 0.000
Be: 0.120 0.620 0.000
Fe: 0.000 0.500 0.500
Fe: 0.070 0.785 0.500